1.
Ti3Nb5: calculated PXRD pattern (CuKα), based on a structure optimized by DFT (GGA-PBE).
Intensities are scaled so that the largest is 100.

Largest 6 diffraction maxima, by angle, 10 to 90 degrees two-theta:
d (Å), 2theta, intensity
2.393, 37.58, 25
2.375, 37.88, 100
1.934, 46.98, 27
1.504, 61.65, 22
1.378, 68.02, 16
1.185, 81.15, 20

Crystal structure
Cell: 3.8685 3.8685 19.1476 Å, 90.00 90.00 90.00°
Atoms (fractional coordinates):
Ti (0.0000, 0.0000, 0.0000)
Ti (0.0000, 0.5000, 0.1202)
Ti (0.0000, 0.5000, 0.3798)
Ti (0.5000, 0.0000, 0.6202)
Ti (0.5000, 0.0000, 0.8798)
Ti (0.5000, 0.5000, 0.5000)
Nb (0.0000, 0.0000, 0.2515)
Nb (0.0000, 0.0000, 0.5000)
Nb (0.0000, 0.0000, 0.7485)
Nb (0.0000, 0.5000, 0.6258)
Nb (0.0000, 0.5000, 0.8742)
Nb (0.5000, 0.0000, 0.1258)
Nb (0.5000, 0.0000, 0.3742)
Nb (0.5000, 0.5000, 0.0000)
Nb (0.5000, 0.5000, 0.2485)
Nb (0.5000, 0.5000, 0.7515)

2.
Ti3Nb13: calculated PXRD pattern (CuKα), based on a structure optimized by DFT (GGA-PBE).
Intensities are scaled so that the largest is 100.

Largest 6 diffraction maxima, by angle, 10 to 90 degrees two-theta:
d (Å), 2theta, intensity
2.337, 38.53, 100
2.329, 38.67, 20
1.651, 55.66, 20
1.350, 69.63, 20
1.346, 69.87, 20
1.168, 82.63, 8

Crystal structure
Cell: 6.6074 6.6041 6.6041 Å, 90.31 90.00 90.00°
Atoms (fractional coordinates):
Ti (0.0000, 0.0000, 0.0000)
Ti (0.2598, 0.2570, 0.2570)
Ti (0.7402, 0.2570, 0.2570)
Nb (0.0000, 0.0045, 0.5076)
Nb (0.0000, 0.5046, 0.5046)
Nb (0.0000, 0.5076, 0.0045)
Nb (0.2494, 0.7544, 0.7544)
Nb (0.2497, 0.2552, 0.7547)
Nb (0.2497, 0.7547, 0.2552)
Nb (0.5000, 0.0028, 0.0028)
Nb (0.5000, 0.0048, 0.5054)
Nb (0.5000, 0.5054, 0.0048)
Nb (0.5000, 0.5072, 0.5072)
Nb (0.7503, 0.2552, 0.7547)
Nb (0.7503, 0.7547, 0.2552)
Nb (0.7506, 0.7544, 0.7544)

3.
TiNb3: calculated PXRD pattern (CuKα), based on a structure optimized by DFT (GGA-PBE).
Intensities are scaled so that the largest is 100.

Largest 6 diffraction maxima, by angle, 10 to 90 degrees two-theta:
d (Å), 2theta, intensity
4.662, 19.04, 4
3.295, 27.06, 3
2.330, 38.64, 100
1.648, 55.79, 17
1.345, 69.93, 33
1.165, 82.86, 10

Crystal structure
Cell: 4.6624 4.6624 3.2923 Å, 90.00 90.00 90.00°
Atoms (fractional coordinates):
Ti (0.0000, 0.0000, 0.0000)
Nb (0.0000, 0.5000, 0.5000)
Nb (0.5000, 0.0000, 0.5000)
Nb (0.5000, 0.5000, 0.0000)

4.
Ti4NbTl: calculated PXRD pattern (CuKα), based on a structure optimized by DFT (GGA-PBE).
Intensities are scaled so that the largest is 100.

Largest 6 diffraction maxima, by angle, 10 to 90 degrees two-theta:
d (Å), 2theta, intensity
4.209, 21.11, 38
3.930, 22.62, 68
2.432, 36.96, 94
2.373, 37.92, 100
2.235, 40.36, 42
2.222, 40.60, 43

Crystal structure
Cell: 2.9567 4.4444 8.5297 Å, 90.00 99.31 90.00°
Atoms (fractional coordinates):
Ti (0.0000, 0.0000, 0.0000)
Ti (0.1764, 0.5000, 0.4632)
Ti (0.6161, 0.5000, 0.1621)
Ti (0.7952, 0.0000, 0.6253)
Nb (0.3960, 0.0000, 0.3129)
Tl (0.3990, 0.5000, 0.8126)